No. 1
Computed X-ray powder pattern of Lu6Fe2Sn for Cu Kα (weighted mean of Kα1 and Kα2), from a cell relaxed with GGA-PBE.

Largest 6 diffraction maxima, in order of rising 2θ, 10 to 90 degrees two-theta:
| 2θ (°) | I (rel.) |
| --- | --- |
| 32.8 | 100 |
| 35.0 | 26 |
| 35.5 | 25 |
| 35.9 | 33 |
| 38.7 | 17 |
| 61.0 | 17 |

Atomic structure:
Cell lengths 8.208, 8.208, 8.208 Å; angles 111.00, 110.55, 106.89 degrees
Fractional positions:
Lu  0.016  0.234  0.782
Lu  0.188  0.286  0.474
Lu  0.188  0.714  0.903
Lu  0.314  0.014  0.700
Lu  0.314  0.613  0.300
Lu  0.452  0.234  0.218
Lu  0.548  0.766  0.782
Lu  0.686  0.387  0.700
Lu  0.686  0.986  0.300
Lu  0.812  0.286  0.097
Lu  0.812  0.714  0.526
Lu  0.984  0.766  0.218
Fe  0.109  0.609  0.500
Fe  0.384  0.000  0.384
Fe  0.616  0.000  0.616
Fe  0.891  0.391  0.500
Sn  0.000  0.000  0.000
Sn  0.500  0.500  0.000

---

No. 2
Computed X-ray powder pattern of TmLu6Fe2Te2 for Cu Kα (weighted mean of Kα1 and Kα2), from a cell relaxed with GGA-PBE.

Largest 6 diffraction maxima, in order of rising 2θ, 10 to 90 degrees two-theta:
| 2θ (°) | I (rel.) |
| --- | --- |
| 31.1 | 56 |
| 34.1 | 85 |
| 34.6 | 100 |
| 35.3 | 60 |
| 47.8 | 33 |
| 60.0 | 34 |

Atomic structure:
Cell lengths 9.150, 9.150, 9.150 Å; angles 155.99, 65.91, 119.65 degrees
Fractional positions:
Tm  0.000  0.000  0.000
Lu  0.059  0.371  0.688
Lu  0.081  0.730  0.350
Lu  0.380  0.730  0.650
Lu  0.443  0.580  0.863
Lu  0.683  0.371  0.312
Lu  0.718  0.580  0.137
Fe  0.302  0.067  0.235
Fe  0.832  0.067  0.765
Te  0.337  0.337  0.000
Te  0.731  0.231  0.500

---

No. 3
Computed X-ray powder pattern of YLu6Fe2Te2 for Cu Kα (weighted mean of Kα1 and Kα2), from a cell relaxed with GGA-PBE.

Largest 6 diffraction maxima, in order of rising 2θ, 10 to 90 degrees two-theta:
| 2θ (°) | I (rel.) |
| --- | --- |
| 31.0 | 48 |
| 34.2 | 88 |
| 34.4 | 100 |
| 35.2 | 80 |
| 47.5 | 33 |
| 59.8 | 36 |

Atomic structure:
Cell lengths 9.188, 9.188, 9.188 Å; angles 155.95, 65.18, 120.44 degrees
Fractional positions:
Y  0.000  0.000  0.000
Lu  0.279  0.417  0.862
Lu  0.313  0.627  0.687
Lu  0.555  0.417  0.138
Lu  0.611  0.263  0.348
Lu  0.915  0.263  0.652
Lu  0.940  0.627  0.313
Fe  0.170  0.933  0.237
Fe  0.696  0.933  0.763
Te  0.269  0.769  0.500
Te  0.661  0.661  0.000

---

No. 4
Computed X-ray powder pattern of Y3Lu4Fe2Te2 for Cu Kα (weighted mean of Kα1 and Kα2), from a cell relaxed with GGA-PBE.

Largest 6 diffraction maxima, in order of rising 2θ, 10 to 90 degrees two-theta:
| 2θ (°) | I (rel.) |
| --- | --- |
| 25.0 | 21 |
| 30.8 | 24 |
| 34.1 | 100 |
| 34.9 | 54 |
| 46.9 | 19 |
| 59.2 | 19 |

Atomic structure:
Cell lengths 9.246, 9.246, 9.246 Å; angles 155.82, 65.13, 120.56 degrees
Fractional positions:
Y  0.000  0.000  0.000
Y  0.606  0.258  0.348
Y  0.909  0.258  0.652
Lu  0.275  0.413  0.862
Lu  0.309  0.623  0.686
Lu  0.551  0.413  0.138
Lu  0.937  0.623  0.314
Fe  0.173  0.934  0.239
Fe  0.696  0.934  0.761
Te  0.268  0.768  0.500
Te  0.658  0.658  0.000

---

No. 5
Computed X-ray powder pattern of YLu2Fe9 for Cu Kα (weighted mean of Kα1 and Kα2), from a cell relaxed with GGA-PBE.

Largest 6 diffraction maxima, in order of rising 2θ, 10 to 90 degrees two-theta:
| 2θ (°) | I (rel.) |
| --- | --- |
| 11.1 | 27 |
| 33.3 | 50 |
| 35.8 | 57 |
| 36.4 | 31 |
| 41.7 | 37 |
| 42.5 | 100 |

Atomic structure:
Cell lengths 8.490, 8.490, 8.490 Å; angles 34.41, 34.41, 34.41 degrees
Fractional positions:
Y  0.000  0.000  0.000
Lu  0.142  0.142  0.142
Lu  0.858  0.858  0.858
Fe  0.082  0.583  0.583
Fe  0.333  0.333  0.333
Fe  0.417  0.417  0.918
Fe  0.417  0.918  0.417
Fe  0.500  0.500  0.500
Fe  0.583  0.082  0.583
Fe  0.583  0.583  0.082
Fe  0.667  0.667  0.667
Fe  0.918  0.417  0.417

---

No. 6
Computed X-ray powder pattern of Mg3Fe2 for Cu Kα (weighted mean of Kα1 and Kα2), from a cell relaxed with GGA-PBE.

Largest 6 diffraction maxima, in order of rising 2θ, 10 to 90 degrees two-theta:
| 2θ (°) | I (rel.) |
| --- | --- |
| 18.3 | 46 |
| 39.4 | 100 |
| 41.6 | 61 |
| 49.7 | 25 |
| 69.9 | 29 |
| 74.4 | 25 |

Atomic structure:
Cell lengths 6.866, 6.866, 6.866 Å; angles 90.00, 90.00, 90.00 degrees
Fractional positions:
Mg  0.049  0.125  0.799
Mg  0.125  0.799  0.049
Mg  0.201  0.549  0.375
Mg  0.299  0.451  0.875
Mg  0.375  0.201  0.549
Mg  0.451  0.875  0.299
Mg  0.549  0.375  0.201
Mg  0.625  0.701  0.951
Mg  0.701  0.951  0.625
Mg  0.799  0.049  0.125
Mg  0.875  0.299  0.451
Mg  0.951  0.625  0.701
Fe  0.071  0.929  0.429
Fe  0.179  0.179  0.179
Fe  0.321  0.821  0.679
Fe  0.429  0.071  0.929
Fe  0.571  0.571  0.571
Fe  0.679  0.321  0.821
Fe  0.821  0.679  0.321
Fe  0.929  0.429  0.071

---

No. 7
Computed X-ray powder pattern of Mg3Fe for Cu Kα (weighted mean of Kα1 and Kα2), from a cell relaxed with GGA-PBE.

Largest 6 diffraction maxima, in order of rising 2θ, 10 to 90 degrees two-theta:
| 2θ (°) | I (rel.) |
| --- | --- |
| 35.1 | 25 |
| 37.6 | 41 |
| 39.4 | 53 |
| 40.0 | 100 |
| 69.4 | 18 |
| 74.9 | 18 |

Atomic structure:
Cell lengths 4.790, 5.869, 5.204 Å; angles 90.00, 90.00, 90.00 degrees
Fractional positions:
Mg  0.250  0.002  0.169
Mg  0.250  0.498  0.169
Mg  0.250  0.750  0.639
Mg  0.750  0.250  0.361
Mg  0.750  0.502  0.831
Mg  0.750  0.998  0.831
Fe  0.250  0.250  0.672
Fe  0.750  0.750  0.328

---

No. 8
Computed X-ray powder pattern of MgFeW2N4 for Cu Kα (weighted mean of Kα1 and Kα2), from a cell relaxed with GGA-PBE.

Largest 6 diffraction maxima, in order of rising 2θ, 10 to 90 degrees two-theta:
| 2θ (°) | I (rel.) |
| --- | --- |
| 16.2 | 99 |
| 32.8 | 37 |
| 35.9 | 99 |
| 39.6 | 65 |
| 49.4 | 100 |
| 64.5 | 24 |

Atomic structure:
Cell lengths 2.889, 2.889, 10.920 Å; angles 90.00, 90.00, 120.00 degrees
Fractional positions:
Mg  0.000  0.000  0.000
Fe  0.000  0.000  0.500
W  0.000  0.000  0.251
W  0.000  0.000  0.749
N  0.333  0.667  0.630
N  0.333  0.667  0.871
N  0.667  0.333  0.129
N  0.667  0.333  0.370

---

No. 9
Computed X-ray powder pattern of MgNbFePb for Cu Kα (weighted mean of Kα1 and Kα2), from a cell relaxed with GGA-PBE.

Largest 6 diffraction maxima, in order of rising 2θ, 10 to 90 degrees two-theta:
| 2θ (°) | I (rel.) |
| --- | --- |
| 23.6 | 20 |
| 27.3 | 39 |
| 38.9 | 100 |
| 56.3 | 17 |
| 63.6 | 16 |
| 70.5 | 34 |

Atomic structure:
Cell lengths 4.625, 4.625, 4.625 Å; angles 60.00, 60.00, 60.00 degrees
Fractional positions:
Mg  0.000  0.000  0.000
Nb  0.750  0.750  0.750
Fe  0.500  0.500  0.500
Pb  0.250  0.250  0.250

---

No. 10
Computed X-ray powder pattern of MgFeP for Cu Kα (weighted mean of Kα1 and Kα2), from a cell relaxed with GGA-PBE.

Largest 6 diffraction maxima, in order of rising 2θ, 10 to 90 degrees two-theta:
| 2θ (°) | I (rel.) |
| --- | --- |
| 15.3 | 100 |
| 37.0 | 60 |
| 39.1 | 17 |
| 46.2 | 70 |
| 48.1 | 43 |
| 88.4 | 20 |

Atomic structure:
Cell lengths 3.783, 3.783, 5.800 Å; angles 90.00, 90.00, 90.00 degrees
Fractional positions:
Mg  0.250  0.250  0.165
Mg  0.750  0.750  0.835
Fe  0.250  0.750  0.500
Fe  0.750  0.250  0.500
P  0.250  0.250  0.709
P  0.750  0.750  0.291

---

No. 11
Computed X-ray powder pattern of MgFeSi2P4 for Cu Kα (weighted mean of Kα1 and Kα2), from a cell relaxed with GGA-PBE.

Largest 6 diffraction maxima, in order of rising 2θ, 10 to 90 degrees two-theta:
| 2θ (°) | I (rel.) |
| --- | --- |
| 28.7 | 100 |
| 46.6 | 23 |
| 48.2 | 41 |
| 55.6 | 26 |
| 58.4 | 11 |
| 87.7 | 13 |

Atomic structure:
Cell lengths 6.484, 6.484, 6.484 Å; angles 129.68, 129.68, 73.92 degrees
Fractional positions:
Mg  0.000  0.000  0.000
Fe  0.250  0.750  0.500
Si  0.500  0.500  0.000
Si  0.750  0.250  0.500
P  0.133  0.594  0.992
P  0.406  0.398  0.539
P  0.602  0.141  0.008
P  0.859  0.867  0.461

---

No. 12
Computed X-ray powder pattern of Mg2FePt for Cu Kα (weighted mean of Kα1 and Kα2), from a cell relaxed with GGA-PBE.

Largest 6 diffraction maxima, in order of rising 2θ, 10 to 90 degrees two-theta:
| 2θ (°) | I (rel.) |
| --- | --- |
| 24.4 | 77 |
| 28.3 | 24 |
| 40.5 | 100 |
| 47.8 | 39 |
| 58.5 | 17 |
| 73.6 | 33 |

Atomic structure:
Cell lengths 4.460, 4.460, 4.460 Å; angles 60.00, 60.00, 60.00 degrees
Fractional positions:
Mg  0.000  0.000  0.000
Mg  0.250  0.250  0.250
Fe  0.750  0.750  0.750
Pt  0.500  0.500  0.500